# 1
# SmDy8Th3
Calculated XRD peak list, Cu Kα, 1.54184 Å. Input: a DFT-relaxed cell (GGA-PBE, Alexandria).
Neutral-atom scattering factors, no anomalous dispersion.

Main lines, low angle first (2θ = 10–90°):
Position (°2θ)	I (rel.)
21.34	39
24.15	46
25.82	42
28.98	71
31.68	56
33.09	38
36.27	100
43.46	45
44.56	36
56.22	28

Structure:
Cell lengths 8.7159, 8.7159, 11.2988 Å; angles 90.00, 90.00, 90.00 degrees
Space group I-42m (No. 121)
One atom of each set of equivalent atoms:
Sm 0.0000 0.0000 0.0000 x2
Dy 0.1275 0.1275 0.2457 x8
Dy 0.2412 0.2412 0.9826 x8
Th 0.0000 0.0000 0.5000 x2
Th 0.0000 0.5000 0.2500 x4

=====

# 2
# CoSiAs2
Calculated XRD peak list, Cu Kα, 1.54184 Å. Input: a DFT-relaxed cell (GGA-PBE, Alexandria).
Neutral-atom scattering factors, no anomalous dispersion.

Main lines, low angle first (2θ = 10–90°):
Position (°2θ)	I (rel.)
13.74	29
29.78	100
40.14	26
42.06	12
47.26	61
50.28	17
54.11	22
62.99	23
70.81	9
76.98	10

Structure:
Cell lengths 3.3899, 3.3899, 6.4444 Å; angles 90.00, 90.00, 90.00 degrees
Space group P-4m2 (No. 115)
One atom of each set of equivalent atoms:
Co 0.0000 0.0000 0.0000 x1
Si 0.5000 0.5000 0.0000 x1
As 0.0000 0.5000 0.2797 x2

=====

# 3
# SrSmPtAu
Calculated XRD peak list, Cu Kα, 1.54184 Å. Input: a DFT-relaxed cell (GGA-PBE, Alexandria).
Neutral-atom scattering factors, no anomalous dispersion.

Main lines, low angle first (2θ = 10–90°):
Position (°2θ)	I (rel.)
15.44	24
23.42	21
30.68	93
31.17	28
37.06	32
38.02	100
39.70	32
45.04	23
61.57	18
70.94	16

Structure:
Cell lengths 4.5408, 4.0260, 11.4765 Å; angles 90.00, 90.00, 90.00 degrees
Space group Amm2 (No. 38)
One atom of each set of equivalent atoms:
Sr 0.0000 0.0000 0.0000 x2
Sm 0.5000 0.0000 0.7237 x2
Pt 0.0000 0.0000 0.2678 x2
Au 0.5000 0.0000 0.4356 x2

=====

# 4
# NaZnCuAs2
Calculated XRD peak list, Cu Kα, 1.54184 Å. Input: a DFT-relaxed cell (GGA-PBE, Alexandria).
Neutral-atom scattering factors, no anomalous dispersion.

Main lines, low angle first (2θ = 10–90°):
Position (°2θ)	I (rel.)
16.42	55
22.60	68
32.69	55
34.31	90
42.80	82
45.28	100
47.28	25
54.88	24
62.14	26
80.15	36

Structure:
Cell lengths 4.2253, 4.2253, 10.7941 Å; angles 90.00, 90.00, 90.00 degrees
Space group I-4m2 (No. 119)
One atom of each set of equivalent atoms:
Na 0.0000 0.0000 0.0000 x2
Zn 0.0000 0.5000 0.2500 x2
Cu 0.0000 0.5000 0.7500 x2
As 0.0000 0.0000 0.3785 x4

=====

# 5
# Yb2MgS4
Calculated XRD peak list, Cu Kα, 1.54184 Å. Input: a DFT-relaxed cell (GGA-PBE, Alexandria).
Neutral-atom scattering factors, no anomalous dispersion.

Main lines, low angle first (2θ = 10–90°):
Position (°2θ)	I (rel.)
15.28	76
24.80	86
27.22	100
27.95	41
31.22	30
32.23	31
34.43	50
42.36	44
42.64	32
47.67	36

Structure:
Cell lengths 12.7868, 3.8156, 13.0136 Å; angles 90.00, 90.00, 90.00 degrees
Space group Pnma (No. 62)
One atom of each set of equivalent atoms:
Yb 0.1175 0.2500 0.0738 x4
Yb 0.1352 0.2500 0.7056 x4
Mg 0.1132 0.7500 0.4482 x4
S 0.0082 0.7500 0.6173 x4
S 0.0260 0.2500 0.8838 x4
S 0.2257 0.2500 0.2546 x4
S 0.2366 0.2500 0.5136 x4

=====

# 6
# NiGe2Br2
Calculated XRD peak list, Cu Kα, 1.54184 Å. Input: a DFT-relaxed cell (GGA-PBE, Alexandria).
Neutral-atom scattering factors, no anomalous dispersion.

Main lines, low angle first (2θ = 10–90°):
Position (°2θ)	I (rel.)
25.48	53
26.49	100
29.68	43
34.51	82
34.83	95
37.81	85
41.82	34
44.28	49
52.34	65
57.63	34

Structure:
Cell lengths 6.7304, 6.7304, 5.1516 Å; angles 90.00, 90.00, 90.00 degrees
Space group P4/mbm (No. 127)
One atom of each set of equivalent atoms:
Ni 0.0000 0.0000 0.0000 x2
Ge 0.2447 0.2553 0.0000 x4
Br 0.1815 0.6815 0.5000 x4

=====

# 7
# RbAg3Se
Calculated XRD peak list, Cu Kα, 1.54184 Å. Input: a DFT-relaxed cell (GGA-PBE, Alexandria).
Neutral-atom scattering factors, no anomalous dispersion.

Main lines, low angle first (2θ = 10–90°):
Position (°2θ)	I (rel.)
16.59	25
28.95	93
33.55	100
37.65	13
48.17	70
57.18	38
59.98	23
77.95	15
80.38	30
89.97	24

Structure:
Cell lengths 5.3427, 5.3427, 5.3427 Å; angles 90.00, 90.00, 90.00 degrees
Space group Pm-3m (No. 221)
One atom of each set of equivalent atoms:
Rb 0.0000 0.0000 0.0000 x1
Ag 0.0000 0.5000 0.5000 x3
Se 0.5000 0.5000 0.5000 x1

=====

# 8
# Mn2SiIrS
Calculated XRD peak list, Cu Kα, 1.54184 Å. Input: a DFT-relaxed cell (GGA-PBE, Alexandria).
Neutral-atom scattering factors, no anomalous dispersion.

Main lines, low angle first (2θ = 10–90°):
Position (°2θ)	I (rel.)
12.04	100
30.30	30
31.35	41
35.90	28
36.68	29
39.16	63
43.78	66
44.16	91
48.29	27
54.17	31

Structure:
Cell lengths 2.9497, 2.9088, 14.7020 Å; angles 90.00, 90.00, 90.00 degrees
Space group Amm2 (No. 38)
One atom of each set of equivalent atoms:
Mn 0.0000 0.0000 0.0000 x2
Mn 0.5000 0.0000 0.1782 x2
Si 0.5000 0.0000 0.4100 x2
Ir 0.0000 0.0000 0.8139 x2
S 0.0000 0.0000 0.6143 x2